Diffraction record for Tb5Dy4Ag. The XRD peak list is theoretical, not measured: it uses a crystal structure in Alexandria, relaxed with PBE and Cu Kα (weighted mean of Kα1 and Kα2).
Lines closer than 0.1° are merged.

Top 6 peaks for 2θ from 10° to 90°, by intensity:
index  Position (°2θ)  I (rel.)
1 0 5  31.3  100.0
1 1 0  35.7  40.4
2 1 5  61.4  29.2
1 1 10  52.7  15.0
2 0 0  51.4  14.3
0 0 10  37.5  10.0

Structural model:
```
Tb5Dy4Ag
1.0
3.5550 0.0000 0.0000
0.0000 3.5550 0.0000
0.0000 0.0000 23.9865
Tb Dy Ag
5 4 1
direct
0.0000 0.0000 0.0000
0.0000 0.0000 0.2095
0.0000 0.0000 0.4196
0.0000 0.0000 0.5804
0.0000 0.0000 0.7905
0.5000 0.5000 0.1046
0.5000 0.5000 0.3133
0.5000 0.5000 0.6867
0.5000 0.5000 0.8954
0.5000 0.5000 0.5000
```



Diffraction record for LiUAgBr6. The XRD peak list is theoretical, not measured: it uses a crystal structure in Alexandria, relaxed with PBE and Cu Kα (weighted mean of Kα1 and Kα2).
Lines closer than 0.1° are merged.

Top 6 peaks for 2θ from 10° to 90°, by intensity:
index  Position (°2θ)  I (rel.)
2 1 3  36.9  100.0
1 1 0  18.5  98.4
1 1 3  28.7  91.4
1 0 1  14.9  76.0
3 0 3  45.9  66.3
2 2 0  37.5  50.2

Structural model:
```
LiUAgBr6
1.0
6.7755 0.0000 0.0000
0.0000 6.7755 0.0000
0.0000 0.0000 12.2661
Li U Ag Br
2 2 2 12
direct
0.0000 0.0000 0.0000
0.5000 0.5000 0.5000
0.0000 0.0000 0.3342
0.5000 0.5000 0.8342
0.0000 0.0000 0.6646
0.5000 0.5000 0.1646
0.1935 0.1935 0.1651
0.2052 0.2052 0.8370
0.2056 0.2056 0.4948
0.2944 0.7056 0.9948
0.2948 0.7052 0.3370
0.3065 0.6935 0.6651
0.6935 0.3065 0.6651
0.7052 0.2948 0.3370
0.7056 0.2944 0.9948
0.7944 0.7944 0.4948
0.7948 0.7948 0.8370
0.8065 0.8065 0.1651
```



Diffraction record for Sr2InSn4Rh3. The XRD peak list is theoretical, not measured: it uses a crystal structure in Alexandria, relaxed with PBE and Cu Kα (weighted mean of Kα1 and Kα2).
Lines closer than 0.1° are merged.

Top 6 peaks for 2θ from 10° to 90°, by intensity:
index  Position (°2θ)  I (rel.)
1 1 2  31.8  100.0
2 0 0  39.4  68.8
1 1 4  42.2  47.4
1 0 3  30.5  40.2
1 0 5  44.3  24.5
3 1 2  66.6  23.8

Structural model:
```
Sr2InSn4Rh3
1.0
4.5777 0.0000 0.0000
0.0000 4.5777 0.0000
0.0000 0.0000 11.4304
Sr In Sn Rh
2 1 4 3
direct
0.0000 0.5000 0.2426
0.5000 0.0000 0.7574
0.0000 0.0000 0.5000
0.0000 0.0000 0.0000
0.0000 0.5000 0.6472
0.5000 0.0000 0.3528
0.5000 0.5000 0.0000
0.0000 0.5000 0.8782
0.5000 0.0000 0.1218
0.5000 0.5000 0.5000
```



Diffraction record for AcAgP. The XRD peak list is theoretical, not measured: it uses a crystal structure in Alexandria, relaxed with PBE and Cu Kα (weighted mean of Kα1 and Kα2).
Lines closer than 0.1° are merged.

Top 6 peaks for 2θ from 10° to 90°, by intensity:
index  Position (°2θ)  I (rel.)
1 0 1  31.1  100.0
1 1 0  40.9  34.6
1 0 0  23.3  29.7
2 0 1  52.2  23.4
1 1 2  59.5  22.9
2 1 1  68.4  20.9

Structural model:
```
AcAgP
1.0
4.4137 0.0000 0.0000
-2.2068 3.8223 0.0000
0.0000 0.0000 4.3807
Ac Ag P
1 1 1
direct
0.0000 0.0000 0.0000
0.6667 0.3333 0.5000
0.3333 0.6667 0.5000
```